No. 1
The following is a simulated powder diffraction line list of LaTb2Er4Th. It was derived from the GGA-PBE geometry in Alexandria, using Cu Kα (λ = 1.5418 Å).
No peak broadening, texture or thermal motion is included.

Structure:
Unit cell a=5.0731 b=5.0897 c=9.9210 alpha=90.00 beta=90.00 gamma=90.00
Positions (direct):
1 La 0.0000 0.0000 0.0000
2 Tb 0.0000 0.0000 0.5000
3 Tb 0.5000 0.5000 0.0000
4 Er 0.0000 0.5000 0.2559
5 Er 0.0000 0.5000 0.7441
6 Er 0.5000 0.0000 0.2562
7 Er 0.5000 0.0000 0.7438
8 Th 0.5000 0.5000 0.5000

Principal peaks in the range 2θ = 10–90°, in order of rising 2θ:
| two_theta | d_spacing | I (rel.) |
| --- | --- | --- |
| 30.73 | 2.910 | 100 |
| 35.27 | 2.545 | 17 |
| 35.39 | 2.537 | 17 |
| 36.22 | 2.480 | 16 |
| 50.82 | 1.797 | 12 |
| 51.49 | 1.775 | 24 |
| 60.49 | 1.530 | 15 |
| 60.65 | 1.527 | 15 |
| 61.76 | 1.502 | 14 |
| 63.99 | 1.455 | 12 |

No. 2
The following is a simulated powder diffraction line list of LaTb6Er2Th. It was derived from the GGA-PBE geometry in Alexandria, using Cu Kα (λ = 1.5418 Å).
No peak broadening, texture or thermal motion is included.

Structure:
Unit cell a=8.8355 b=8.8355 c=9.3951 alpha=92.51 beta=92.51 gamma=115.97
Positions (direct):
1 La 0.0381 0.9619 0.7500
2 La 0.9619 0.0381 0.2500
3 Tb 0.0105 0.5571 0.6823
4 Tb 0.1172 0.7582 0.0607
5 Tb 0.2418 0.8828 0.4393
6 Tb 0.2938 0.5194 0.8875
7 Tb 0.4429 0.9895 0.8177
8 Tb 0.4806 0.7062 0.6125
9 Tb 0.5194 0.2938 0.3875
10 Tb 0.5571 0.0105 0.1823
11 Tb 0.7062 0.4806 0.1125
12 Tb 0.7582 0.1172 0.5607
13 Tb 0.8828 0.2418 0.9393
14 Tb 0.9895 0.4429 0.3177
15 Er 0.1995 0.3038 0.5538
16 Er 0.3038 0.1995 0.0538
17 Er 0.6962 0.8005 0.9462
18 Er 0.8005 0.6962 0.4462
19 Th 0.4107 0.5893 0.2500
20 Th 0.5893 0.4107 0.7500

Principal peaks in the range 2θ = 10–90°, in order of rising 2θ:
| two_theta | d_spacing | I (rel.) |
| --- | --- | --- |
| 28.36 | 3.147 | 47 |
| 28.47 | 3.135 | 23 |
| 30.09 | 2.969 | 80 |
| 30.58 | 2.924 | 100 |
| 31.04 | 2.881 | 73 |
| 31.35 | 2.853 | 48 |
| 31.60 | 2.831 | 62 |
| 32.57 | 2.749 | 37 |
| 34.58 | 2.594 | 55 |
| 35.34 | 2.540 | 23 |

No. 3
The following is a simulated powder diffraction line list of LaTb2ErTm2. It was derived from the GGA-PBE geometry in Alexandria, using Cu Kα (λ = 1.5418 Å).
No peak broadening, texture or thermal motion is included.

Structure:
Unit cell a=6.9146 b=16.0484 c=3.5226 alpha=90.00 beta=90.00 gamma=90.00
Positions (direct):
1 La 0.0000 0.0000 0.0000
2 La 0.5000 0.5000 0.5000
3 Tb 0.2481 0.3405 0.0000
4 Tb 0.2519 0.8405 0.5000
5 Tb 0.7481 0.1595 0.5000
6 Tb 0.7519 0.6595 0.0000
7 Er 0.0000 0.5000 0.5000
8 Er 0.5000 0.0000 0.0000
9 Tm 0.2504 0.1553 0.5000
10 Tm 0.2496 0.6553 0.0000
11 Tm 0.7504 0.3447 0.0000
12 Tm 0.7496 0.8447 0.5000

Principal peaks in the range 2θ = 10–90°, in order of rising 2θ:
| two_theta | d_spacing | I (rel.) |
| --- | --- | --- |
| 28.10 | 3.175 | 43 |
| 30.38 | 2.942 | 100 |
| 33.50 | 2.675 | 36 |
| 34.24 | 2.619 | 46 |
| 36.86 | 2.439 | 59 |
| 46.42 | 1.956 | 14 |
| 54.65 | 1.680 | 30 |
| 57.97 | 1.591 | 13 |
| 62.30 | 1.490 | 26 |
| 63.67 | 1.462 | 15 |

No. 4
The following is a simulated powder diffraction line list of La2TbEr6Tm3. It was derived from the GGA-PBE geometry in Alexandria, using Cu Kα (λ = 1.5418 Å).
No peak broadening, texture or thermal motion is included.

Structure:
Unit cell a=6.1500 b=6.1500 c=11.7315 alpha=95.01 beta=95.01 gamma=119.97
Positions (direct):
1 La 0.1667 0.8333 0.0000
2 La 0.8333 0.1667 0.0000
3 Tb 0.5000 0.5000 0.0000
4 Er 0.0819 0.4143 0.7444
5 Er 0.2535 0.2535 0.2556
6 Er 0.4143 0.0819 0.7444
7 Er 0.5857 0.9181 0.2556
8 Er 0.7465 0.7465 0.7444
9 Er 0.9181 0.5857 0.2556
10 Tm 0.0000 0.0000 0.5000
11 Tm 0.3336 0.6664 0.5000
12 Tm 0.6664 0.3336 0.5000

Principal peaks in the range 2θ = 10–90°, in order of rising 2θ:
| two_theta | d_spacing | I (rel.) |
| --- | --- | --- |
| 30.85 | 2.898 | 100 |
| 30.97 | 2.888 | 33 |
| 35.81 | 2.508 | 67 |
| 51.47 | 1.776 | 24 |
| 51.62 | 1.771 | 23 |
| 61.25 | 1.513 | 33 |
| 61.42 | 1.510 | 14 |
| 64.28 | 1.449 | 12 |
| 84.00 | 1.152 | 12 |
| 86.73 | 1.123 | 11 |

No. 5
The following is a simulated powder diffraction line list of La2Tb2ErTm2. It was derived from the GGA-PBE geometry in Alexandria, using Cu Kα (λ = 1.5418 Å).
No peak broadening, texture or thermal motion is included.

Structure:
Unit cell a=6.1260 b=6.1260 c=11.9020 alpha=108.45 beta=108.45 gamma=33.38
Positions (direct):
1 La 0.1701 0.1701 0.0841
2 La 0.8299 0.8299 0.9159
3 Tb 0.0489 0.0489 0.7655
4 Tb 0.9511 0.9511 0.2345
5 Er 0.5000 0.5000 0.5000
6 Tm 0.2725 0.2725 0.6321
7 Tm 0.7275 0.7275 0.3679

Principal peaks in the range 2θ = 10–90°, in order of rising 2θ:
| two_theta | d_spacing | I (rel.) |
| --- | --- | --- |
| 28.53 | 3.129 | 35 |
| 30.58 | 2.924 | 100 |
| 32.44 | 2.760 | 66 |
| 33.01 | 2.714 | 34 |
| 35.21 | 2.549 | 49 |
| 37.92 | 2.373 | 23 |
| 51.63 | 1.770 | 24 |
| 53.62 | 1.709 | 17 |
| 60.88 | 1.522 | 15 |
| 61.51 | 1.508 | 42 |

No. 6
The following is a simulated powder diffraction line list of LaTb2ErTm5. It was derived from the GGA-PBE geometry in Alexandria, using Cu Kα (λ = 1.5418 Å).
No peak broadening, texture or thermal motion is included.

Structure:
Unit cell a=9.6651 b=9.6651 c=9.6651 alpha=125.54 beta=125.54 gamma=80.65
Positions (direct):
1 La 0.2500 0.2500 0.0000
2 La 0.7500 0.7500 0.0000
3 Tb 0.1136 0.6136 0.7271
4 Tb 0.3864 0.1136 0.5000
5 Tb 0.6136 0.8864 0.5000
6 Tb 0.8864 0.3864 0.2729
7 Er 0.2500 0.7500 0.5000
8 Er 0.7500 0.2500 0.5000
9 Tm 0.0000 0.0000 0.0000
10 Tm 0.0739 0.1624 0.5000
11 Tm 0.1624 0.6624 0.0885
12 Tm 0.3376 0.4261 0.5000
13 Tm 0.4261 0.9261 0.0885
14 Tm 0.5000 0.5000 0.0000
15 Tm 0.5739 0.0739 0.9115
16 Tm 0.6624 0.5739 0.5000
17 Tm 0.8376 0.3376 0.9115
18 Tm 0.9261 0.8376 0.5000

Principal peaks in the range 2θ = 10–90°, in order of rising 2θ:
| two_theta | d_spacing | I (rel.) |
| --- | --- | --- |
| 28.54 | 3.127 | 52 |
| 28.98 | 3.081 | 49 |
| 31.61 | 2.831 | 100 |
| 32.00 | 2.797 | 14 |
| 34.29 | 2.615 | 14 |
| 37.15 | 2.420 | 20 |
| 38.07 | 2.363 | 16 |
| 42.59 | 2.123 | 16 |
| 49.44 | 1.843 | 19 |
| 52.51 | 1.743 | 19 |

No. 7
The following is a simulated powder diffraction line list of LaTb2Y6Er. It was derived from the GGA-PBE geometry in Alexandria, using Cu Kα (λ = 1.5418 Å).
No peak broadening, texture or thermal motion is included.

Structure:
Unit cell a=8.8354 b=8.8354 c=9.5808 alpha=93.46 beta=93.46 gamma=117.36
Positions (direct):
1 La 0.0275 0.9725 0.7500
2 La 0.9725 0.0275 0.2500
3 Tb 0.1990 0.3030 0.5504
4 Tb 0.3030 0.1990 0.0504
5 Tb 0.6970 0.8010 0.9496
6 Tb 0.8010 0.6970 0.4496
7 Y 0.0128 0.5621 0.6826
8 Y 0.1235 0.7512 0.0578
9 Y 0.2488 0.8765 0.4422
10 Y 0.2931 0.5116 0.8854
11 Y 0.4379 0.9872 0.8174
12 Y 0.4884 0.7069 0.6146
13 Y 0.5116 0.2931 0.3854
14 Y 0.5621 0.0128 0.1826
15 Y 0.7069 0.4884 0.1146
16 Y 0.7512 0.1235 0.5578
17 Y 0.8765 0.2488 0.9422
18 Y 0.9872 0.4379 0.3174
19 Er 0.4107 0.5893 0.2500
20 Er 0.5893 0.4107 0.7500

Principal peaks in the range 2θ = 10–90°, in order of rising 2θ:
| two_theta | d_spacing | I (rel.) |
| --- | --- | --- |
| 28.09 | 3.177 | 44 |
| 28.37 | 3.146 | 59 |
| 30.38 | 2.942 | 73 |
| 30.57 | 2.924 | 80 |
| 31.04 | 2.881 | 100 |
| 31.21 | 2.866 | 62 |
| 31.50 | 2.840 | 63 |
| 32.29 | 2.773 | 39 |
| 32.92 | 2.721 | 31 |
| 33.88 | 2.646 | 62 |

No. 8
The following is a simulated powder diffraction line list of La2TbY2Er2. It was derived from the GGA-PBE geometry in Alexandria, using Cu Kα (λ = 1.5418 Å).
No peak broadening, texture or thermal motion is included.

Structure:
Unit cell a=6.1658 b=6.1658 c=11.9238 alpha=107.93 beta=107.93 gamma=33.24
Positions (direct):
1 La 0.1714 0.1714 0.0841
2 La 0.8286 0.8286 0.9159
3 Tb 0.5000 0.5000 0.5000
4 Y 0.0474 0.0474 0.7677
5 Y 0.9526 0.9526 0.2323
6 Er 0.2716 0.2716 0.6323
7 Er 0.7284 0.7284 0.3677

Principal peaks in the range 2θ = 10–90°, in order of rising 2θ:
| two_theta | d_spacing | I (rel.) |
| --- | --- | --- |
| 28.41 | 3.142 | 55 |
| 30.35 | 2.945 | 70 |
| 30.55 | 2.927 | 83 |
| 32.26 | 2.775 | 100 |
| 32.66 | 2.742 | 55 |
| 35.11 | 2.556 | 77 |
| 37.86 | 2.376 | 30 |
| 51.13 | 1.787 | 38 |
| 53.44 | 1.714 | 24 |
| 61.21 | 1.514 | 41 |

No. 9
The following is a simulated powder diffraction line list of LaErTe6. It was derived from the GGA-PBE geometry in Alexandria, using Cu Kα (λ = 1.5418 Å).
No peak broadening, texture or thermal motion is included.

Structure:
Unit cell a=4.3621 b=13.9212 c=13.9212 alpha=18.02 beta=90.00 gamma=90.00
Positions (direct):
1 La 0.0000 0.0000 0.0000
2 Er 0.5000 0.6534 0.6534
3 Te 0.0000 0.1215 0.1215
4 Te 0.0000 0.4029 0.4029
5 Te 0.0000 0.7460 0.7460
6 Te 0.5000 0.2460 0.2460
7 Te 0.5000 0.5371 0.5371
8 Te 0.5000 0.9029 0.9029

Principal peaks in the range 2θ = 10–90°, in order of rising 2θ:
| two_theta | d_spacing | I (rel.) |
| --- | --- | --- |
| 25.92 | 3.437 | 35 |
| 29.14 | 3.065 | 16 |
| 30.59 | 2.923 | 100 |
| 33.18 | 2.700 | 12 |
| 33.31 | 2.690 | 33 |
| 37.06 | 2.426 | 29 |
| 41.40 | 2.181 | 44 |
| 49.50 | 1.841 | 24 |
| 59.99 | 1.542 | 15 |
| 68.84 | 1.364 | 18 |

No. 10
The following is a simulated powder diffraction line list of La2ErTe3. It was derived from the GGA-PBE geometry in Alexandria, using Cu Kα (λ = 1.5418 Å).
No peak broadening, texture or thermal motion is included.

Structure:
Unit cell a=14.7659 b=14.0836 c=7.8105 alpha=79.17 beta=69.52 gamma=31.30
Positions (direct):
1 La 0.0450 0.0450 0.2050
2 La 0.1229 0.1229 0.6271
3 La 0.2050 0.2050 0.0450
4 La 0.3729 0.3729 0.8771
5 La 0.6271 0.6271 0.1229
6 La 0.7950 0.7950 0.9550
7 La 0.8771 0.8771 0.3729
8 La 0.9550 0.9550 0.7950
9 Er 0.2921 0.2921 0.4579
10 Er 0.4579 0.4579 0.2921
11 Er 0.5421 0.5421 0.7079
12 Er 0.7079 0.7079 0.5421
13 Te 0.0378 0.5394 0.2261
14 Te 0.1425 0.6075 0.6075
15 Te 0.2261 0.6967 0.0378
16 Te 0.3033 0.7739 0.4606
17 Te 0.3925 0.8575 0.8575
18 Te 0.4606 0.9622 0.3033
19 Te 0.5394 0.0378 0.6967
20 Te 0.6075 0.1425 0.1425
21 Te 0.6967 0.2261 0.5394
22 Te 0.7739 0.3033 0.9622
23 Te 0.8575 0.3925 0.3925
24 Te 0.9622 0.4606 0.7739

Principal peaks in the range 2θ = 10–90°, in order of rising 2θ:
| two_theta | d_spacing | I (rel.) |
| --- | --- | --- |
| 28.09 | 3.177 | 100 |
| 39.66 | 2.273 | 13 |
| 40.15 | 2.246 | 50 |
| 40.61 | 2.222 | 12 |
| 49.31 | 1.848 | 14 |
| 50.11 | 1.820 | 13 |
| 58.07 | 1.588 | 12 |
| 65.72 | 1.421 | 11 |
| 65.74 | 1.420 | 11 |
| 72.29 | 1.307 | 8 |

No. 11
The following is a simulated powder diffraction line list of LaEr2Te4. It was derived from the GGA-PBE geometry in Alexandria, using Cu Kα (λ = 1.5418 Å).
No peak broadening, texture or thermal motion is included.

Structure:
Unit cell a=7.4578 b=7.4578 c=14.9120 alpha=90.00 beta=90.00 gamma=146.15
Positions (direct):
1 La 0.1219 0.8781 0.7500
2 La 0.8781 0.1219 0.2500
3 Er 0.3684 0.6316 0.5655
4 Er 0.3684 0.6316 0.9345
5 Er 0.6316 0.3684 0.0655
6 Er 0.6316 0.3684 0.4345
7 Te 0.0000 0.0000 0.0000
8 Te 0.0000 0.0000 0.5000
9 Te 0.2729 0.7271 0.1195
10 Te 0.2729 0.7271 0.3805
11 Te 0.4538 0.5462 0.7500
12 Te 0.5462 0.4538 0.2500
13 Te 0.7271 0.2729 0.6195
14 Te 0.7271 0.2729 0.8805

Principal peaks in the range 2θ = 10–90°, in order of rising 2θ:
| two_theta | d_spacing | I (rel.) |
| --- | --- | --- |
| 21.79 | 4.078 | 52 |
| 26.99 | 3.304 | 65 |
| 27.82 | 3.207 | 27 |
| 28.47 | 3.135 | 96 |
| 30.34 | 2.946 | 100 |
| 37.11 | 2.423 | 60 |
| 39.68 | 2.271 | 27 |
| 41.60 | 2.171 | 43 |
| 42.08 | 2.147 | 80 |
| 60.69 | 1.526 | 30 |

No. 12
The following is a simulated powder diffraction line list of La2Er5Th. It was derived from the GGA-PBE geometry in Alexandria, using Cu Kα (λ = 1.5418 Å).
No peak broadening, texture or thermal motion is included.

Structure:
Unit cell a=7.0993 b=14.2334 c=5.1261 alpha=90.00 beta=90.00 gamma=90.00
Positions (direct):
1 La 0.2471 0.1246 0.0000
2 La 0.2529 0.6246 0.0000
3 La 0.7471 0.3754 0.0000
4 La 0.7529 0.8754 0.0000
5 Er 0.0000 0.0000 0.5000
6 Er 0.0123 0.7484 0.5000
7 Er 0.2363 0.3785 0.0000
8 Er 0.2637 0.8785 0.0000
9 Er 0.4877 0.2484 0.5000
10 Er 0.5000 0.5000 0.5000
11 Er 0.5123 0.7516 0.5000
12 Er 0.7363 0.1215 0.0000
13 Er 0.7637 0.6215 0.0000
14 Er 0.9877 0.2516 0.5000
15 Th 0.0000 0.5000 0.5000
16 Th 0.5000 0.0000 0.5000

Principal peaks in the range 2θ = 10–90°, in order of rising 2θ:
| two_theta | d_spacing | I (rel.) |
| --- | --- | --- |
| 30.61 | 2.921 | 100 |
| 35.01 | 2.563 | 18 |
| 35.73 | 2.513 | 33 |
| 50.89 | 1.794 | 24 |
| 51.35 | 1.779 | 6 |
| 60.08 | 1.540 | 15 |
| 61.04 | 1.518 | 28 |
| 63.67 | 1.462 | 6 |
| 63.79 | 1.459 | 6 |
| 82.97 | 1.164 | 12 |